No. 1
# Pr6Sm2Ga
Simulated powder diffractogram, Cu Kα. Input: a cell relaxed with PBE.

Top 6 peaks for 2θ = 15–90°, by angle:
hkl	2theta	Rel. int.
0 3 1	29.93	24
3 0 1	30.70	100
1 3 1	31.20	69
3 1 1	31.85	14
0 0 2	32.00	44
2 3 2	44.99	22

Structure:
a b c (Å): 10.2418 10.5919 5.5932
angles (deg): 90.00 90.00 90.00
Space group Pnnm (No. 58)
One atom of each set of equivalent atoms:
Pr1 0.0234 0.1947 0.0000
Pr2 0.1312 0.6067 0.5000
Pr3 0.1916 0.9353 0.5000
Sm1 0.1994 0.2593 0.5000
Ga1 0.0000 0.5000 0.0000



No. 2
# Sm5Sc2Sn5
Simulated powder diffractogram, Cu Kα. Input: a cell relaxed with PBE.

Top 6 peaks for 2θ = 15–90°, by angle:
hkl	2theta	Rel. int.
3 1 -1	28.73	100
0 0 4	30.41	59
3 1 -3	31.03	75
1 1 -4	33.68	90
3 1 1	34.10	61
0 2 0	38.11	79

Structure:
a b c (Å): 12.5120 4.7226 13.1618
angles (deg): 90.00 116.72 90.00
Space group C2/m (No. 12)
One atom of each set of equivalent atoms:
Sm1 0.0000 0.0000 0.0000
Sm2 0.1612 0.0000 0.5179
Sm3 0.1887 0.0000 0.7927
Sc1 0.0437 0.5000 0.2888
Sn1 0.0000 0.5000 0.5000
Sn2 0.1473 0.5000 0.9409
Sn3 0.1797 0.0000 0.2820



No. 3
# Sr2Tl4In
Simulated powder diffractogram, Cu Kα. Input: a cell relaxed with PBE.

Top 6 peaks for 2θ = 15–90°, by angle:
hkl	2theta	Rel. int.
0 0 2	15.70	58
4 0 0	26.73	39
4 0 2	31.15	66
0 0 4	31.70	53
0 2 2	32.32	100
4 2 2	42.42	46

Structure:
a b c (Å): 13.3400 6.3581 11.2901
angles (deg): 90.00 90.00 90.00
Space group Cmce (No. 64)
One atom of each set of equivalent atoms:
Sr1 0.1428 0.0000 0.0000
Tl1 0.0000 0.2490 0.2500
Tl2 0.2500 0.2478 0.7500
In1 0.0000 0.0000 0.5000



No. 4
# Rb2BePI6
Simulated powder diffractogram, Cu Kα. Input: a cell relaxed with PBE.

Top 6 peaks for 2θ = 15–90°, by angle:
hkl	2theta	Rel. int.
2 0 2	27.34	100
2 2 0	31.67	60
4 0 0	45.41	43
4 2 2	53.82	44
6 0 2	73.00	18
6 2 0	75.21	19

Structure:
a b c (Å): 7.9916 7.9916 11.2945
angles (deg): 90.00 90.00 90.00
Space group I4/mmm (No. 139)
One atom of each set of equivalent atoms:
Rb1 0.0000 0.5000 0.2500
Be1 0.0000 0.0000 0.0000
P1 0.0000 0.0000 0.5000
I1 0.0000 0.0000 0.2441
I2 0.2459 0.2459 0.0000



No. 5
# GeBi2Pd8
Simulated powder diffractogram, Cu Kα. Input: a cell relaxed with PBE.

Top 6 peaks for 2θ = 15–90°, by angle:
hkl	2theta	Rel. int.
0 2 2	32.51	15
1 0 5	37.61	31
0 0 6	38.66	17
2 0 0	38.97	34
1 2 3	40.78	100
3 2 3	71.81	19

Structure:
a b c (Å): 4.6225 5.9944 13.9748
angles (deg): 90.00 90.00 90.00
Space group Immm (No. 71)
One atom of each set of equivalent atoms:
Ge1 0.0000 0.0000 0.0000
Bi1 0.0000 0.0000 0.3216
Pd1 0.0000 0.2582 0.1330
Pd2 0.0000 0.2649 0.5000
Pd3 0.0000 0.5000 0.3142



No. 6
# Nd2Ho6Tm3
Simulated powder diffractogram, Cu Kα. Input: a cell relaxed with PBE.

Top 6 peaks for 2θ = 15–90°, by angle:
hkl	2theta	Rel. int.
1 3 1	31.22	100
2 0 2	36.21	51
0 6 0	52.14	36
2 6 -2	62.00	28
4 0 0	62.09	14
2 6 2	65.12	12

Structure:
a b c (Å): 6.0714 10.5298 11.6460
angles (deg): 90.00 100.10 90.00
Space group C2/m (No. 12)
One atom of each set of equivalent atoms:
Nd1 0.0000 0.1666 0.0000
Ho1 0.2486 0.1668 0.7454
Ho2 0.2491 0.5000 0.7456
Tm1 0.0000 0.0000 0.5000
Tm2 0.0000 0.3346 0.5000